Entry 1:
Starting from a DFT-relaxed cell (PBE, Alexandria), the PXRD pattern of GaSb2H2Pt7 was computed for Cu Kα (λ = 1.5418 Å).

Top 10 peaks for 2θ = 5–70°, low angle first:
| d [Å] | 2theta | I_rel |
| --- | --- | --- |
| 11.629 | 7.6 | 55.9 |
| 3.944 | 22.5 | 27.0 |
| 2.697 | 33.2 | 25.8 |
| 2.579 | 34.8 | 20.8 |
| 2.542 | 35.3 | 33.0 |
| 2.503 | 35.9 | 27.5 |
| 2.340 | 38.5 | 52.3 |
| 2.273 | 39.6 | 43.3 |
| 2.255 | 40.0 | 100.0 |
| 1.994 | 45.5 | 87.6 |

Structure:
Unit cell a=3.9906 b=3.9906 c=11.8987 alpha=98.75 beta=98.75 gamma=88.03
Fractional coordinates of all 12 atoms:
Ga  0.0000  0.0000  0.0000
Sb  0.2167  0.2167  0.4168
Sb  0.7833  0.7833  0.5832
H  0.1399  0.1399  0.7459
H  0.8601  0.8601  0.2541
Pt  0.0761  0.5620  0.1657
Pt  0.3746  0.3746  0.6516
Pt  0.4380  0.9239  0.8343
Pt  0.5000  0.5000  0.0000
Pt  0.5620  0.0761  0.1657
Pt  0.6254  0.6254  0.3484
Pt  0.9239  0.4380  0.8343

***

Entry 2:
Starting from a DFT-relaxed cell (PBE, Alexandria), the PXRD pattern of Rb2GaH3 was computed for Cu Kα (λ = 1.5418 Å).

Top 10 peaks for 2θ = 5–70°, low angle first:
| d [Å] | 2theta | I_rel |
| --- | --- | --- |
| 4.321 | 20.6 | 19.7 |
| 4.265 | 20.8 | 45.4 |
| 3.792 | 23.5 | 67.7 |
| 3.215 | 27.7 | 100.0 |
| 2.979 | 30.0 | 95.7 |
| 2.955 | 30.2 | 24.4 |
| 2.407 | 37.4 | 20.8 |
| 2.379 | 37.8 | 33.3 |
| 2.133 | 42.4 | 19.0 |
| 1.764 | 51.8 | 33.3 |

Structure:
Unit cell a=9.8912 b=9.6164 c=6.4013 alpha=73.18 beta=68.54 gamma=38.28
Fractional coordinates of all 12 atoms:
Rb  0.2217  0.7783  0.2217
Rb  0.2500  0.2500  0.2500
Rb  0.7500  0.7500  0.7500
Rb  0.7783  0.2217  0.7783
Ga  0.3616  0.3616  0.6384
Ga  0.6384  0.6384  0.3616
H  0.2421  0.5701  0.7579
H  0.2698  0.2698  0.7302
H  0.4299  0.7579  0.5701
H  0.5701  0.2421  0.4299
H  0.7302  0.7302  0.2698
H  0.7579  0.4299  0.2421

***

Entry 3:
Starting from a DFT-relaxed cell (PBE, Alexandria), the PXRD pattern of Rb2Ga2H7 was computed for Cu Kα (λ = 1.5418 Å).

Top 10 peaks for 2θ = 5–70°, low angle first:
| d [Å] | 2theta | I_rel |
| --- | --- | --- |
| 3.663 | 24.3 | 81.9 |
| 3.467 | 25.7 | 64.5 |
| 3.300 | 27.0 | 100.0 |
| 2.934 | 30.5 | 38.1 |
| 2.736 | 32.7 | 32.0 |
| 2.519 | 35.6 | 20.7 |
| 2.389 | 37.6 | 22.2 |
| 2.240 | 40.3 | 37.8 |
| 1.968 | 46.1 | 28.5 |
| 1.702 | 53.9 | 15.2 |

Structure:
Unit cell a=5.1231 b=13.8679 c=5.5826 alpha=90.00 beta=90.70 gamma=90.00
Fractional coordinates of all 22 atoms:
Rb  0.1787  0.1336  0.1606
Rb  0.1787  0.3664  0.6606
Rb  0.8213  0.6336  0.3394
Rb  0.8213  0.8664  0.8394
Ga  0.3685  0.6110  0.8577
Ga  0.3685  0.8890  0.3577
Ga  0.6315  0.1110  0.6423
Ga  0.6315  0.3890  0.1423
H  0.1570  0.6846  0.9657
H  0.1570  0.8154  0.4657
H  0.2855  0.5739  0.5925
H  0.2855  0.9261  0.0925
H  0.3581  0.1683  0.6686
H  0.3581  0.3317  0.1686
H  0.5000  0.0000  0.5000
H  0.5000  0.5000  0.0000
H  0.6419  0.6683  0.8314
H  0.6419  0.8317  0.3314
H  0.7145  0.0739  0.9075
H  0.7145  0.4261  0.4075
H  0.8430  0.1846  0.5343
H  0.8430  0.3154  0.0343

***

Entry 4:
Starting from a DFT-relaxed cell (PBE, Alexandria), the PXRD pattern of Rb8Ga5H15 was computed for Cu Kα (λ = 1.5418 Å).

Top 10 peaks for 2θ = 5–70°, low angle first:
| d [Å] | 2theta | I_rel |
| --- | --- | --- |
| 5.938 | 14.9 | 11.4 |
| 3.853 | 23.1 | 28.2 |
| 3.428 | 26.0 | 22.0 |
| 3.232 | 27.6 | 100.0 |
| 2.969 | 30.1 | 24.0 |
| 2.839 | 31.5 | 17.0 |
| 1.979 | 45.8 | 44.7 |
| 1.843 | 49.4 | 9.1 |
| 1.688 | 54.4 | 31.7 |
| 1.400 | 66.8 | 10.0 |

Structure:
Unit cell a=11.8754 b=11.8754 c=11.8754 alpha=60.00 beta=60.00 gamma=60.00
Fractional coordinates of all 56 atoms:
Rb  0.0000  0.0000  0.0000
Rb  0.0000  0.0000  0.5000
Rb  0.0000  0.5000  0.0000
Rb  0.2017  0.2017  0.5483
Rb  0.2017  0.5483  0.2017
Rb  0.2017  0.5483  0.5483
Rb  0.4517  0.4517  0.7983
Rb  0.4517  0.7983  0.4517
Rb  0.4517  0.7983  0.7983
Rb  0.5000  0.0000  0.0000
Rb  0.5483  0.2017  0.2017
Rb  0.5483  0.2017  0.5483
Rb  0.5483  0.5483  0.2017
Rb  0.7983  0.4517  0.4517
Rb  0.7983  0.4517  0.7983
Rb  0.7983  0.7983  0.4517
Ga  0.1250  0.1250  0.1250
Ga  0.1304  0.7899  0.7899
Ga  0.2101  0.2101  0.2101
Ga  0.2101  0.2101  0.8696
Ga  0.2101  0.8696  0.2101
Ga  0.7899  0.1304  0.7899
Ga  0.7899  0.7899  0.1304
Ga  0.7899  0.7899  0.7899
Ga  0.8696  0.2101  0.2101
Ga  0.8750  0.8750  0.8750
H  0.0000  0.5000  0.5000
H  0.1034  0.2504  0.3514
H  0.1034  0.3514  0.7948
H  0.1034  0.7948  0.2504
H  0.2052  0.6486  0.7496
H  0.2052  0.7496  0.8966
H  0.2052  0.8966  0.6486
H  0.2504  0.1034  0.7948
H  0.2504  0.3514  0.1034
H  0.2504  0.7948  0.3514
H  0.3514  0.1034  0.2504
H  0.3514  0.2504  0.7948
H  0.3514  0.7948  0.1034
H  0.3750  0.3750  0.3750
H  0.5000  0.0000  0.5000
H  0.5000  0.5000  0.0000
H  0.5000  0.5000  0.5000
H  0.6250  0.6250  0.6250
H  0.6486  0.2052  0.8966
H  0.6486  0.7496  0.2052
H  0.6486  0.8966  0.7496
H  0.7496  0.2052  0.6486
H  0.7496  0.6486  0.8966
H  0.7496  0.8966  0.2052
H  0.7948  0.1034  0.3514
H  0.7948  0.2504  0.1034
H  0.7948  0.3514  0.2504
H  0.8966  0.2052  0.7496
H  0.8966  0.6486  0.2052
H  0.8966  0.7496  0.6486

***

> Which formula does entry 4 have?

Rb8Ga5H15

***

> Which formula does entry 2 have?

Rb2GaH3